# 1
For CaMnW2, the PBE geometry in Alexandria gives the theoretical powder XRD pattern in this record (Cu Kα, 1.54184 Å).
Lines closer than 0.1° are merged.

Cell and atoms:
Lattice parameters (Å, degrees): 2.7954 4.3044 6.3560 90.00 101.06 90.00
Sites, in units of the cell vectors:
Ca  0.0000  0.0000  0.0000
Mn  0.7599  0.5000  0.3023
W  0.2593  0.5000  0.6865
W  0.4723  0.0000  0.4958

Most intense lines, 10° ≤ 2θ ≤ 90°, low angle first:
| Position (°2θ) | I_rel |
| --- | --- |
| 14.20 | 100 |
| 25.14 | 14 |
| 35.54 | 59 |
| 38.29 | 29 |
| 39.28 | 53 |
| 41.98 | 24 |
| 44.53 | 12 |
| 44.84 | 19 |
| 48.63 | 19 |
| 58.11 | 17 |

***

# 2
For PdBrCl6, the PBE geometry in Alexandria gives the theoretical powder XRD pattern in this record (Cu Kα, 1.54184 Å).
Lines closer than 0.1° are merged.

Cell and atoms:
Lattice parameters (Å, degrees): 5.8561 7.5535 7.6949 116.25 95.44 105.61
Sites, in units of the cell vectors:
Pd  0.0000  0.0000  0.0000
Br  0.0000  0.0000  0.5000
Cl  0.1347  0.7499  0.7886
Cl  0.2430  0.0213  0.2708
Cl  0.4137  0.5757  0.9494
Cl  0.5863  0.4243  0.0506
Cl  0.7570  0.9787  0.7292
Cl  0.8653  0.2501  0.2114

Most intense lines, 10° ≤ 2θ ≤ 90°, low angle first:
| Position (°2θ) | I_rel |
| --- | --- |
| 13.24 | 34 |
| 13.95 | 100 |
| 16.22 | 58 |
| 17.33 | 54 |
| 22.53 | 47 |
| 24.93 | 64 |
| 27.46 | 23 |
| 28.11 | 25 |
| 29.47 | 29 |
| 48.17 | 23 |

***

# 3
For Pr3NdRu8, the PBE geometry in Alexandria gives the theoretical powder XRD pattern in this record (Cu Kα, 1.54184 Å).
Lines closer than 0.1° are merged.

Cell and atoms:
Lattice parameters (Å, degrees): 9.4552 9.4552 9.4552 33.44 33.44 33.44
Sites, in units of the cell vectors:
Pr  0.0000  0.0000  0.0000
Pr  0.1248  0.1248  0.1248
Pr  0.6248  0.6248  0.6248
Nd  0.5001  0.5001  0.5001
Ru  0.0541  0.5684  0.5684
Ru  0.0683  0.0683  0.5527
Ru  0.0683  0.5527  0.0683
Ru  0.3184  0.3184  0.3184
Ru  0.5527  0.0683  0.0683
Ru  0.5684  0.0541  0.5684
Ru  0.5684  0.5684  0.0541
Ru  0.8185  0.8185  0.8185

Most intense lines, 10° ≤ 2θ ≤ 90°, low angle first:
| Position (°2θ) | I_rel |
| --- | --- |
| 32.88 | 53 |
| 38.75 | 100 |
| 38.81 | 34 |
| 40.60 | 30 |
| 58.75 | 15 |
| 62.64 | 24 |
| 62.71 | 16 |
| 68.85 | 17 |
| 69.05 | 17 |
| 82.09 | 11 |

***

# 4
For SrHoMnS4, the PBE geometry in Alexandria gives the theoretical powder XRD pattern in this record (Cu Kα, 1.54184 Å).
Lines closer than 0.1° are merged.

Cell and atoms:
Lattice parameters (Å, degrees): 6.5745 6.1775 8.1876 90.00 107.41 90.00
Sites, in units of the cell vectors:
Sr  0.2410  0.2500  0.4393
Sr  0.7590  0.7500  0.5607
Ho  0.2597  0.2500  0.9412
Ho  0.7403  0.7500  0.0588
Mn  0.2635  0.7500  0.1792
Mn  0.7365  0.2500  0.8208
S  0.0608  0.7500  0.9051
S  0.0675  0.7500  0.3649
S  0.4888  0.5084  0.7725
S  0.4888  0.9916  0.7725
S  0.5112  0.0084  0.2275
S  0.5112  0.4916  0.2275
S  0.9325  0.2500  0.6351
S  0.9392  0.2500  0.0949

Most intense lines, 10° ≤ 2θ ≤ 90°, low angle first:
| Position (°2θ) | I_rel |
| --- | --- |
| 11.33 | 81 |
| 20.17 | 100 |
| 27.01 | 40 |
| 27.16 | 40 |
| 28.91 | 73 |
| 30.76 | 41 |
| 33.72 | 81 |
| 34.09 | 76 |
| 41.01 | 62 |
| 44.25 | 40 |

***

# 5
For Er4Zn3Cu, the PBE geometry in Alexandria gives the theoretical powder XRD pattern in this record (Cu Kα, 1.54184 Å).
Lines closer than 0.1° are merged.

Cell and atoms:
Lattice parameters (Å, degrees): 3.6482 4.4590 10.9840 90.00 90.00 90.00
Sites, in units of the cell vectors:
Er  0.0000  0.0000  0.0000
Er  0.0000  0.5000  0.2888
Er  0.5000  0.0000  0.4861
Er  0.5000  0.5000  0.7964
Zn  0.0000  0.0000  0.7141
Zn  0.0000  0.5000  0.5703
Zn  0.5000  0.5000  0.0727
Cu  0.5000  0.0000  0.2134

Most intense lines, 10° ≤ 2θ ≤ 90°, low angle first:
| Position (°2θ) | I_rel |
| --- | --- |
| 25.74 | 39 |
| 32.61 | 21 |
| 32.75 | 100 |
| 34.71 | 47 |
| 38.50 | 32 |
| 40.34 | 30 |
| 40.46 | 29 |
| 50.00 | 16 |
| 52.85 | 22 |
| 54.35 | 26 |

***

# 6
For CuP4Ru2O14, the PBE geometry in Alexandria gives the theoretical powder XRD pattern in this record (Cu Kα, 1.54184 Å).
Lines closer than 0.1° are merged.

Cell and atoms:
Lattice parameters (Å, degrees): 4.8860 6.7946 8.3416 92.52 92.67 106.64
Sites, in units of the cell vectors:
Cu  0.0000  0.0000  0.0000
P  0.0192  0.6566  0.7694
P  0.3882  0.7484  0.3122
P  0.6118  0.2516  0.6878
P  0.9808  0.3434  0.2306
Ru  0.0000  0.0000  0.5000
Ru  0.5000  0.5000  0.0000
O  0.1418  0.8384  0.6694
O  0.1488  0.2808  0.0885
O  0.1854  0.8841  0.3236
O  0.2087  0.5137  0.3436
O  0.2482  0.5616  0.8274
O  0.3729  0.2158  0.5558
O  0.4801  0.7506  0.1376
O  0.5199  0.2494  0.8624
O  0.6271  0.7842  0.4442
O  0.7518  0.4384  0.1726
O  0.7913  0.4863  0.6564
O  0.8146  0.1159  0.6764
O  0.8512  0.7192  0.9115
O  0.8582  0.1616  0.3306

Most intense lines, 10° ≤ 2θ ≤ 90°, low angle first:
| Position (°2θ) | I_rel |
| --- | --- |
| 16.80 | 70 |
| 17.82 | 45 |
| 19.94 | 44 |
| 22.82 | 54 |
| 24.71 | 31 |
| 26.52 | 62 |
| 29.12 | 100 |
| 29.66 | 64 |
| 36.08 | 32 |
| 46.65 | 32 |

***

# 7
For Tl2In2I, the PBE geometry in Alexandria gives the theoretical powder XRD pattern in this record (Cu Kα, 1.54184 Å).
Lines closer than 0.1° are merged.

Cell and atoms:
Lattice parameters (Å, degrees): 9.3416 9.3416 9.3416 152.47 152.47 39.32
Sites, in units of the cell vectors:
Tl  0.0927  0.0927  0.0000
Tl  0.9073  0.9073  0.0000
In  0.2500  0.7500  0.5000
In  0.7500  0.2500  0.5000
I  0.5000  0.5000  0.0000

Most intense lines, 10° ≤ 2θ ≤ 90°, low angle first:
| Position (°2θ) | I_rel |
| --- | --- |
| 20.61 | 40 |
| 25.14 | 23 |
| 30.20 | 100 |
| 30.49 | 21 |
| 32.45 | 81 |
| 35.09 | 37 |
| 40.59 | 48 |
| 41.26 | 21 |
| 52.90 | 41 |
| 60.29 | 27 |

***

# 8
For Li2Pm2SnO6, the PBE geometry in Alexandria gives the theoretical powder XRD pattern in this record (Cu Kα, 1.54184 Å).
Lines closer than 0.1° are merged.

Cell and atoms:
Lattice parameters (Å, degrees): 5.4822 5.4822 5.3894 90.00 90.00 120.00
Sites, in units of the cell vectors:
Li  0.3333  0.6667  0.4928
Li  0.6667  0.3333  0.5072
Pm  0.3333  0.6667  0.9922
Pm  0.6667  0.3333  0.0078
Sn  0.0000  0.0000  0.5000
O  0.0024  0.6749  0.2748
O  0.3251  0.3275  0.2748
O  0.3275  0.0024  0.7252
O  0.6725  0.9976  0.2748
O  0.6749  0.6725  0.7252
O  0.9976  0.3251  0.7252

Most intense lines, 10° ≤ 2θ ≤ 90°, low angle first:
| Position (°2θ) | I_rel |
| --- | --- |
| 16.45 | 14 |
| 24.99 | 100 |
| 32.67 | 51 |
| 33.25 | 12 |
| 36.79 | 19 |
| 41.57 | 26 |
| 47.30 | 57 |
| 53.85 | 25 |
| 58.30 | 18 |
| 78.26 | 13 |

***

# 9
For CsLaRu2O8, the PBE geometry in Alexandria gives the theoretical powder XRD pattern in this record (Cu Kα, 1.54184 Å).
Lines closer than 0.1° are merged.

Cell and atoms:
Lattice parameters (Å, degrees): 9.2675 9.2675 9.2675 36.58 36.58 36.58
Sites, in units of the cell vectors:
Cs  0.0000  0.0000  0.0000
La  0.5000  0.5000  0.5000
Ru  0.2453  0.2453  0.2453
Ru  0.7547  0.7547  0.7547
O  0.0846  0.7479  0.5030
O  0.2521  0.4970  0.9154
O  0.3131  0.3131  0.3131
O  0.4970  0.9154  0.2521
O  0.5030  0.0846  0.7479
O  0.6869  0.6869  0.6869
O  0.7479  0.5030  0.0846
O  0.9154  0.2521  0.4970

Most intense lines, 10° ≤ 2θ ≤ 90°, low angle first:
| Position (°2θ) | I_rel |
| --- | --- |
| 22.36 | 100 |
| 30.74 | 39 |
| 32.87 | 28 |
| 38.34 | 19 |
| 45.62 | 13 |
| 49.92 | 20 |
| 52.80 | 19 |
| 54.66 | 11 |
| 56.02 | 13 |
| 68.73 | 9 |

***

# 10
For Ac2TmPtO6, the PBE geometry in Alexandria gives the theoretical powder XRD pattern in this record (Cu Kα, 1.54184 Å).
Lines closer than 0.1° are merged.

Cell and atoms:
Lattice parameters (Å, degrees): 6.5323 6.5323 5.2445 110.80 110.80 51.09
Sites, in units of the cell vectors:
Ac  0.2395  0.2395  0.2192
Ac  0.7605  0.7605  0.7808
Tm  0.5000  0.5000  0.0000
Pt  0.0000  0.0000  0.5000
O  0.1582  0.6785  0.2040
O  0.3059  0.3059  0.7054
O  0.3215  0.8418  0.7960
O  0.6785  0.1582  0.2040
O  0.6941  0.6941  0.2946
O  0.8418  0.3215  0.7960

Most intense lines, 10° ≤ 2θ ≤ 90°, low angle first:
| Position (°2θ) | I_rel |
| --- | --- |
| 27.95 | 97 |
| 29.07 | 100 |
| 31.77 | 37 |
| 33.07 | 33 |
| 34.25 | 28 |
| 46.51 | 30 |
| 47.41 | 30 |
| 54.28 | 17 |
| 54.94 | 17 |
| 57.26 | 16 |

***

# 11
For KNa3Tl4, the PBE geometry in Alexandria gives the theoretical powder XRD pattern in this record (Cu Kα, 1.54184 Å).
Lines closer than 0.1° are merged.

Cell and atoms:
Lattice parameters (Å, degrees): 11.2419 7.1925 6.1286 90.00 90.00 90.00
Sites, in units of the cell vectors:
K  0.0000  0.0000  0.0000
K  0.5000  0.0000  0.0000
Na  0.0000  0.5000  0.0000
Na  0.2500  0.0000  0.3661
Na  0.2500  0.5000  0.3157
Na  0.5000  0.5000  0.0000
Na  0.7500  0.0000  0.6339
Na  0.7500  0.5000  0.6843
Tl  0.0000  0.2716  0.5000
Tl  0.0000  0.7284  0.5000
Tl  0.2500  0.2657  0.8023
Tl  0.2500  0.7343  0.8023
Tl  0.5000  0.2716  0.5000
Tl  0.5000  0.7284  0.5000
Tl  0.7500  0.2657  0.1977
Tl  0.7500  0.7343  0.1977

Most intense lines, 10° ≤ 2θ ≤ 90°, low angle first:
| Position (°2θ) | I_rel |
| --- | --- |
| 16.47 | 82 |
| 21.45 | 75 |
| 24.76 | 66 |
| 29.88 | 60 |
| 31.84 | 63 |
| 32.98 | 100 |
| 33.30 | 86 |
| 37.65 | 33 |
| 40.75 | 34 |
| 41.94 | 54 |

***

# 12
For PaZnFeIr, the PBE geometry in Alexandria gives the theoretical powder XRD pattern in this record (Cu Kα, 1.54184 Å).
Lines closer than 0.1° are merged.

Cell and atoms:
Lattice parameters (Å, degrees): 4.5745 4.5745 4.5745 60.00 60.00 60.00
Sites, in units of the cell vectors:
Pa  0.0000  0.0000  0.0000
Zn  0.5000  0.5000  0.5000
Fe  0.7500  0.7500  0.7500
Ir  0.2500  0.2500  0.2500

Most intense lines, 10° ≤ 2θ ≤ 90°, low angle first:
| Position (°2θ) | I_rel |
| --- | --- |
| 23.82 | 32 |
| 27.58 | 1 |
| 39.39 | 100 |
| 46.56 | 18 |
| 56.93 | 17 |
| 62.59 | 8 |
| 71.43 | 35 |
| 76.52 | 6 |
| 84.77 | 11 |
| 89.66 | 6 |

***

# 13
For La4NiIrI2, the PBE geometry in Alexandria gives the theoretical powder XRD pattern in this record (Cu Kα, 1.54184 Å).
Lines closer than 0.1° are merged.

Cell and atoms:
Lattice parameters (Å, degrees): 7.3355 4.2382 8.6157 90.00 106.66 90.00
Sites, in units of the cell vectors:
La  0.2274  0.0000  0.1829
La  0.2725  0.5000  0.8144
La  0.7275  0.5000  0.1856
La  0.7726  0.0000  0.8171
Ni  0.0000  0.5000  0.0000
Ir  0.5000  0.0000  0.0000
I  0.0000  0.0000  0.5000
I  0.5000  0.5000  0.5000

Most intense lines, 10° ≤ 2θ ≤ 90°, low angle first:
| Position (°2θ) | I_rel |
| --- | --- |
| 10.72 | 16 |
| 28.27 | 100 |
| 30.28 | 8 |
| 32.54 | 7 |
| 35.24 | 12 |
| 38.03 | 27 |
| 42.68 | 38 |
| 44.12 | 7 |
| 51.99 | 18 |
| 69.43 | 11 |

***

# 14
For Ce2BPt6, the PBE geometry in Alexandria gives the theoretical powder XRD pattern in this record (Cu Kα, 1.54184 Å).
Lines closer than 0.1° are merged.

Cell and atoms:
Lattice parameters (Å, degrees): 5.7860 5.7860 5.3988 90.00 90.00 120.00
Sites, in units of the cell vectors:
Ce  0.3333  0.6667  0.2870
Ce  0.6667  0.3333  0.7130
B  0.0000  0.0000  0.5000
Pt  0.1675  0.3349  0.7709
Pt  0.1675  0.8325  0.7709
Pt  0.3349  0.1675  0.2291
Pt  0.6651  0.8325  0.7709
Pt  0.8325  0.1675  0.2291
Pt  0.8325  0.6651  0.2291

Most intense lines, 10° ≤ 2θ ≤ 90°, low angle first:
| Position (°2θ) | I_rel |
| --- | --- |
| 33.19 | 33 |
| 35.84 | 22 |
| 39.66 | 100 |
| 49.65 | 17 |
| 63.67 | 21 |
| 64.41 | 17 |
| 74.41 | 20 |
| 78.36 | 14 |
| 80.90 | 4 |
| 85.44 | 4 |